This entry pairs a crystal structure of CsTmH3 with its simulated powder diffractogram. Radiation: CuKα. Structure: the GGA-PBE geometry in the Materials Project.

Cell lengths 4.4518, 4.4518, 4.4518 Å; angles 90.00, 90.00, 90.00 degrees
Space group Pm-3m (No. 221)
Symmetry-distinct sites (fractional):
1 Cs 0.0000 0.0000 0.0000 (multiplicity 1)
2 Tm 0.5000 0.5000 0.5000 (multiplicity 1)
3 H 0.0000 0.5000 0.5000 (multiplicity 3)

Top 9 peaks for 2θ = 5–70°, in order of rising 2θ:
(1 0 0), 19.94°, d 4.452, rel. 2.0; (1 1 0), 28.35°, d 3.148, rel. 100.0; (1 1 1), 34.91°, d 2.570, rel. 0.5; (2 0 0), 40.53°, d 2.226, rel. 19.8; (2 1 0), 45.56°, d 1.991, rel. 1.1; (2 1 1), 50.20°, d 1.817, rel. 41.3; (2 2 0), 58.65°, d 1.574, rel. 13.3; (3 0 0), 62.60°, d 1.484, rel. 0.5; (3 1 0), 66.41°, d 1.408, rel. 18.0